# DyY3O6
Theoretical powder X-ray diffraction pattern, CuKα. Input: DFT lattice parameters and positions (PBE).
Kinematic intensities with the Lorentz-polarization factor, no thermal factor.

Structure:
a = 6.750 Å, b = 6.750 Å, c = 6.750 Å
α = 91.51°, β = 91.51°, γ = 91.51°
Sites, in units of the cell vectors:
Dy  0.000  0.000  0.000
Dy  0.500  0.500  0.500
Y  0.056  0.751  0.564
Y  0.249  0.436  0.944
Y  0.436  0.944  0.249
Y  0.564  0.056  0.751
Y  0.751  0.564  0.056
Y  0.944  0.249  0.436
O  0.030  0.683  0.898
O  0.102  0.970  0.317
O  0.185  0.429  0.595
O  0.317  0.102  0.970
O  0.405  0.815  0.571
O  0.429  0.595  0.185
O  0.571  0.405  0.815
O  0.595  0.185  0.429
O  0.683  0.898  0.030
O  0.815  0.571  0.405
O  0.898  0.030  0.683
O  0.970  0.317  0.102

Most intense lines, 2θ from 10° to 90°, by angle:
2θ/deg  I (rel.)
23.5  31.2
26.4  69.4
29.3  73.7
29.9  31.2
32.1  31.3
32.4  100.0
42.0  28.2
42.7  45.3
49.9  48.6
51.8  28.9